(1)
This entry pairs a crystal structure of CeIn5Rh with its simulated powder XRD pattern. Radiation: Cu Kα. Structure: a PBE-relaxed structure.
No peak broadening, texture or thermal motion is included.

Main lines, most intense first (10° ≤ 2θ ≤ 80°):
2theta  intensity
35.87  100.0
38.22  54.2
67.57  30.1
29.29  29.8
55.16  18.2
53.13  17.6
35.47  14.4
67.83  10.6
67.31  8.5
18.84  8.0

Crystal structure
Cell: 4.7094 4.7094 7.5927 Å, 90.00 90.00 90.00°
Positions (direct):
Ce  0.0000  0.0000  0.0000
In  0.0000  0.5000  0.3032
In  0.0000  0.5000  0.6968
In  0.5000  0.0000  0.3032
In  0.5000  0.0000  0.6968
In  0.5000  0.5000  0.0000
Rh  0.0000  0.0000  0.5000

(2)
This entry pairs a crystal structure of Ce3In3Ru2 with its simulated powder XRD pattern. Radiation: Cu Kα. Structure: a PBE-relaxed structure.
No peak broadening, texture or thermal motion is included.

Main lines, most intense first (10° ≤ 2θ ≤ 80°):
2theta  intensity
32.10  100.0
36.66  96.4
33.12  82.7
35.90  52.2
29.13  47.9
52.86  35.3
36.76  22.5
60.28  20.4
24.50  19.4
50.23  19.0

Crystal structure
Cell: 8.5571 8.5571 4.9489 Å, 98.09 98.09 33.31°
Positions (direct):
Ce  0.0000  0.0000  0.0000
Ce  0.1709  0.1709  0.5752
Ce  0.8291  0.8291  0.4248
In  0.3693  0.3693  0.9426
In  0.5000  0.5000  0.5000
In  0.6307  0.6307  0.0574
Ru  0.2091  0.2091  0.1100
Ru  0.7909  0.7909  0.8900

(3)
This entry pairs a crystal structure of Ce3In2Ru2 with its simulated powder XRD pattern. Radiation: Cu Kα. Structure: a PBE-relaxed structure.
No peak broadening, texture or thermal motion is included.

Main lines, most intense first (10° ≤ 2θ ≤ 80°):
2theta  intensity
31.15  100.0
36.29  43.9
33.54  32.8
38.00  16.1
62.99  13.9
35.86  13.8
62.10  13.6
43.08  13.2
53.56  11.8
38.30  9.8

Crystal structure
Cell: 17.4154 4.9512 7.7098 Å, 90.00 90.00 90.00°
Positions (direct):
Ce  0.0747  0.2500  0.0105
Ce  0.1362  0.2500  0.4652
Ce  0.1738  0.7500  0.7735
Ce  0.3262  0.2500  0.2735
Ce  0.3638  0.7500  0.9652
Ce  0.4253  0.7500  0.5105
Ce  0.5747  0.2500  0.4895
Ce  0.6362  0.2500  0.0348
Ce  0.6738  0.7500  0.7265
Ce  0.8262  0.2500  0.2265
Ce  0.8638  0.7500  0.5348
Ce  0.9253  0.7500  0.9895
In  0.0302  0.7500  0.3390
In  0.1989  0.7500  0.2091
In  0.3011  0.2500  0.7091
In  0.4698  0.2500  0.8390
In  0.5302  0.7500  0.1610
In  0.6989  0.7500  0.2909
In  0.8011  0.2500  0.7909
In  0.9698  0.2500  0.6610
Ru  0.0452  0.7500  0.7199
Ru  0.2078  0.2500  0.0226
Ru  0.2922  0.7500  0.5226
Ru  0.4548  0.2500  0.2199
Ru  0.5452  0.7500  0.7801
Ru  0.7078  0.2500  0.4774
Ru  0.7922  0.7500  0.9774
Ru  0.9548  0.2500  0.2801

(4)
This entry pairs a crystal structure of CeIn2Ru with its simulated powder XRD pattern. Radiation: Cu Kα. Structure: a PBE-relaxed structure.
No peak broadening, texture or thermal motion is included.

Main lines, most intense first (10° ≤ 2θ ≤ 80°):
2theta  intensity
31.04  100.0
37.51  39.3
40.60  26.8
38.27  24.4
62.29  23.3
35.04  21.0
40.74  19.2
54.67  17.2
33.01  16.9
63.69  12.3

Crystal structure
Cell: 5.4880 5.4880 7.7429 Å, 90.00 90.00 128.19°
Positions (direct):
Ce  0.0570  0.9430  0.7500
Ce  0.9430  0.0570  0.2500
In  0.3511  0.6489  0.5464
In  0.3511  0.6489  0.9536
In  0.6489  0.3511  0.0464
In  0.6489  0.3511  0.4536
Ru  0.1740  0.8260  0.2500
Ru  0.8260  0.1740  0.7500

(5)
This entry pairs a crystal structure of Ce4In5S13 with its simulated powder XRD pattern. Radiation: Cu Kα. Structure: a PBE-relaxed structure.
No peak broadening, texture or thermal motion is included.

Main lines, most intense first (10° ≤ 2θ ≤ 80°):
2theta  intensity
25.32  100.0
24.52  61.0
26.61  44.1
31.92  34.9
33.97  34.7
43.65  31.8
45.66  31.7
39.70  28.5
24.96  28.2
52.91  27.4

Crystal structure
Cell: 12.0632 21.7828 3.9749 Å, 90.00 90.00 90.00°
Positions (direct):
Ce  0.0163  0.1665  0.0000
Ce  0.1664  0.3413  0.0000
Ce  0.3336  0.8413  0.0000
Ce  0.4837  0.6665  0.0000
Ce  0.5163  0.3335  0.0000
Ce  0.6664  0.1587  0.0000
Ce  0.8336  0.6587  0.0000
Ce  0.9837  0.8335  0.0000
In  0.0000  0.5000  0.0000
In  0.1539  0.6701  0.5000
In  0.1553  0.9922  0.5000
In  0.3446  0.4922  0.5000
In  0.3461  0.1701  0.5000
In  0.5000  0.0000  0.0000
In  0.6539  0.8299  0.5000
In  0.6554  0.5078  0.5000
In  0.8446  0.0078  0.5000
In  0.8461  0.3299  0.5000
S  0.0000  0.0000  0.0000
S  0.0035  0.4071  0.5000
S  0.0781  0.2584  0.5000
S  0.1552  0.8670  0.5000
S  0.1626  0.1126  0.5000
S  0.1710  0.7394  0.0000
S  0.2026  0.4780  0.0000
S  0.2974  0.9780  0.0000
S  0.3290  0.2394  0.0000
S  0.3374  0.6126  0.5000
S  0.3448  0.3670  0.5000
S  0.4219  0.7584  0.5000
S  0.4965  0.9071  0.5000
S  0.5000  0.5000  0.0000
S  0.5035  0.0929  0.5000
S  0.5781  0.2416  0.5000
S  0.6552  0.6330  0.5000
S  0.6626  0.3874  0.5000
S  0.6710  0.7606  0.0000
S  0.7026  0.0220  0.0000
S  0.7974  0.5220  0.0000
S  0.8290  0.2606  0.0000
S  0.8374  0.8874  0.5000
S  0.8448  0.1330  0.5000
S  0.9219  0.7416  0.5000
S  0.9965  0.5929  0.5000

(6)
This entry pairs a crystal structure of CeTl2InSe4 with its simulated powder XRD pattern. Radiation: Cu Kα. Structure: a PBE-relaxed structure.
No peak broadening, texture or thermal motion is included.

Main lines, most intense first (10° ≤ 2θ ≤ 80°):
2theta  intensity
33.04  100.0
31.58  49.0
22.18  35.1
57.17  23.5
40.16  21.8
27.68  20.3
50.96  18.3
51.96  17.7
59.93  14.8
73.80  12.6

Crystal structure
Cell: 6.7575 6.7575 6.7575 Å, 107.26 107.26 113.98°
Positions (direct):
Ce  0.0000  0.0000  0.0000
Tl  0.0000  0.5000  0.5000
Tl  0.5000  0.0000  0.5000
In  0.5000  0.5000  0.0000
Se  0.0930  0.4609  0.0000
Se  0.4609  0.0930  0.0000
Se  0.5391  0.5391  0.6321
Se  0.9070  0.9070  0.3679

(7)
This entry pairs a crystal structure of Ce2In3Sn3 with its simulated powder XRD pattern. Radiation: Cu Kα. Structure: a PBE-relaxed structure.
No peak broadening, texture or thermal motion is included.

Main lines, most intense first (10° ≤ 2θ ≤ 80°):
2theta  intensity
32.98  100.0
37.73  17.4
38.36  16.6
38.70  16.1
65.12  14.0
65.98  13.5
66.44  13.1
54.90  11.7
69.18  11.7
55.16  11.5

Crystal structure
Cell: 4.6929 4.7687 9.3065 Å, 90.00 90.00 90.00°
Positions (direct):
Ce  0.0000  0.0000  0.2457
Ce  0.0000  0.0000  0.7543
In  0.0000  0.5000  0.5000
In  0.5000  0.5000  0.2517
In  0.5000  0.5000  0.7483
Sn  0.0000  0.5000  0.0000
Sn  0.5000  0.0000  0.0000
Sn  0.5000  0.0000  0.5000

(8)
This entry pairs a crystal structure of CeTmIn2 with its simulated powder XRD pattern. Radiation: Cu Kα. Structure: a PBE-relaxed structure.
No peak broadening, texture or thermal motion is included.

Main lines, most intense first (10° ≤ 2θ ≤ 80°):
2theta  intensity
33.02  100.0
58.96  37.2
47.39  18.1
78.89  15.9
69.26  11.4
23.18  2.2
53.39  1.1
40.73  0.7
20.04  0.6
74.14  0.5

Crystal structure
Cell: 5.4263 5.4263 5.4263 Å, 60.00 60.00 60.00°
Positions (direct):
Ce  0.0000  0.0000  0.0000
Tm  0.5000  0.5000  0.5000
In  0.2500  0.2500  0.2500
In  0.7500  0.7500  0.7500